[1]
# AsPd2Se3
Simulated XRD peak list, a wavelength of 1.5418 Å. Input: a DFT-relaxed cell (PBE, Alexandria).
Lines closer than 0.1° are merged.

Atomic structure:
```
data_AsPd2Se3
_cell_length_a 13.6410
_cell_length_b 7.5243
_cell_length_c 4.7375
_cell_angle_alpha 90.00
_cell_angle_beta 92.76
_cell_angle_gamma 90.00
_space_group_name_H-M_alt 'C 1 2/m 1'
_space_group_IT_number 12
loop_
_space_group_symop_operation_xyz
'x,y,z'
'-x,-y,-z'
'-x,y,-z'
'x,-y,z'
'x+1/2,y+1/2,z'
'-x+1/2,-y+1/2,-z'
'-x+1/2,y+1/2,-z'
'x+1/2,-y+1/2,z'
loop_
_atom_site_label
_atom_site_type_symbol
_atom_site_fract_x
_atom_site_fract_y
_atom_site_fract_z
As1 As 0.1486 0.0000 0.1919
Pd1 Pd 0.0000 0.0000 0.5000
Pd2 Pd 0.0000 0.5000 0.5000
Pd3 Pd 0.2500 0.2500 0.5000
Se1 Se 0.0972 0.2324 0.7751
Se2 Se 0.1592 0.5000 0.2523
```

Peak list (10 most intense, 5 to 70 degrees two-theta, by angle)
(0 0 1), 2θ 18.75, d = 4.732 Å, I 22; (4 0 -1), 2θ 31.62, d = 2.830 Å, I 46; (2 2 1), 2θ 33.51, d = 2.674 Å, I 100; (4 0 -2), 2θ 45.62, d = 1.989 Å, I 11; (6 2 0), 2θ 46.73, d = 1.944 Å, I 59; (4 0 2), 2θ 47.85, d = 1.901 Å, I 23; (0 4 0), 2θ 48.39, d = 1.881 Å, I 17; (6 2 -1), 2θ 49.98, d = 1.825 Å, I 12; (8 0 1), 2θ 58.48, d = 1.578 Å, I 14; (4 4 -1), 2θ 58.96, d = 1.567 Å, I 14

=====

[2]
# AsPd2Se
Simulated XRD peak list, a wavelength of 1.5418 Å. Input: a DFT-relaxed cell (PBE, Alexandria).
Lines closer than 0.1° are merged.

Atomic structure:
```
data_AsPd2Se
_cell_length_a 8.0655
_cell_length_b 6.3284
_cell_length_c 5.8670
_cell_angle_alpha 90.00
_cell_angle_beta 97.54
_cell_angle_gamma 90.00
_space_group_name_H-M_alt 'P 1 21/c 1'
_space_group_IT_number 14
loop_
_space_group_symop_operation_xyz
'x,y,z'
'-x,-y,-z'
'-x,y+1/2,-z+1/2'
'x,-y+1/2,z+1/2'
loop_
_atom_site_label
_atom_site_type_symbol
_atom_site_fract_x
_atom_site_fract_y
_atom_site_fract_z
As1 As 0.1091 0.0823 0.3252
Pd1 Pd 0.1177 0.6995 0.5066
Pd2 Pd 0.3347 0.2153 0.0705
Se1 Se 0.3654 0.5719 0.2751
```

Peak list (10 most intense, 5 to 70 degrees two-theta, by angle)
(2 1 0), 2θ 26.37, d = 3.380 Å, I 79; (2 1 -1), 2θ 29.05, d = 3.074 Å, I 46; (2 1 1), 2θ 32.07, d = 2.791 Å, I 58; (0 2 1), 2θ 32.21, d = 2.780 Å, I 59; (2 1 -2), 2θ 38.54, d = 2.336 Å, I 52; (0 2 2), 2θ 42.21, d = 2.141 Å, I 69; (2 1 2), 2θ 43.23, d = 2.093 Å, I 93; (4 0 0), 2θ 45.36, d = 1.999 Å, I 100; (0 3 1), 2θ 45.71, d = 1.985 Å, I 43; (2 3 0), 2θ 48.81, d = 1.866 Å, I 81

=====

[3]
# SmAs2Pd5
Simulated XRD peak list, a wavelength of 1.5418 Å. Input: a DFT-relaxed cell (PBE, Alexandria).
Lines closer than 0.1° are merged.

Atomic structure:
```
data_SmAs2Pd5
_cell_length_a 4.1259
_cell_length_b 7.2842
_cell_length_c 9.5338
_cell_angle_alpha 90.00
_cell_angle_beta 90.00
_cell_angle_gamma 90.00
_space_group_name_H-M_alt 'I m m m'
_space_group_IT_number 71
_space_group_name_Hall '-I 2 2'
loop_
_atom_site_label
_atom_site_type_symbol
_atom_site_fract_x
_atom_site_fract_y
_atom_site_fract_z
Sm1 Sm 0.0000 0.0000 0.0000
As1 As 0.0000 0.5000 0.2553
Pd1 Pd 0.0000 0.1933 0.3507
Pd2 Pd 0.0000 0.5000 0.0000
```

Peak list (10 most intense, 5 to 70 degrees two-theta, by angle)
(0 2 2), 2θ 30.90, d = 2.894 Å, I 13; (1 1 2), 2θ 31.19, d = 2.868 Å, I 14; (1 2 1), 2θ 34.16, d = 2.625 Å, I 96; (1 0 3), 2θ 35.66, d = 2.518 Å, I 100; (0 3 1), 2θ 38.25, d = 2.353 Å, I 13; (1 3 0), 2θ 43.23, d = 2.093 Å, I 30; (2 0 0), 2θ 43.89, d = 2.063 Å, I 43; (0 2 4), 2θ 45.48, d = 1.994 Å, I 50; (1 3 2), 2θ 47.45, d = 1.916 Å, I 18; (2 2 4), 2θ 65.05, d = 1.434 Å, I 33

=====

[4]
# Sm2As6Pd21
Simulated XRD peak list, a wavelength of 1.5418 Å. Input: a DFT-relaxed cell (PBE, Alexandria).
Lines closer than 0.1° are merged.

Atomic structure:
```
data_Sm2As6Pd21
_cell_length_a 12.5240
_cell_length_b 12.5240
_cell_length_c 12.5240
_cell_angle_alpha 90.00
_cell_angle_beta 90.00
_cell_angle_gamma 90.00
_space_group_name_H-M_alt 'F m -3 m'
_space_group_IT_number 225
_space_group_name_Hall '-F 4 2 3'
loop_
_atom_site_label
_atom_site_type_symbol
_atom_site_fract_x
_atom_site_fract_y
_atom_site_fract_z
Sm1 Sm 0.2500 0.2500 0.2500
As1 As 0.0000 0.0000 0.2389
Pd1 Pd 0.0000 0.0000 0.5000
Pd2 Pd 0.0000 0.1743 0.3257
Pd3 Pd 0.1160 0.1160 0.1160
```

Peak list (10 most intense, 5 to 70 degrees two-theta, by angle)
(4 2 0), 2θ 31.96, d = 2.800 Å, I 19; (4 2 2), 2θ 35.10, d = 2.556 Å, I 23; (3 3 3), 2θ 37.31, d = 2.410 Å, I 100; (4 4 0), 2θ 40.76, d = 2.214 Å, I 52; (5 3 1), 2θ 42.71, d = 2.117 Å, I 32; (6 0 0), 2θ 43.35, d = 2.087 Å, I 12; (6 2 2), 2θ 48.20, d = 1.888 Å, I 29; (6 6 0), 2θ 62.98, d = 1.476 Å, I 26; (5 5 5), 2θ 64.43, d = 1.446 Å, I 13; (9 1 1), 2θ 68.22, d = 1.375 Å, I 8

=====

[5]
# SmAs4Pd12
Simulated XRD peak list, a wavelength of 1.5418 Å. Input: a DFT-relaxed cell (PBE, Alexandria).
Lines closer than 0.1° are merged.

Atomic structure:
```
data_SmAs4Pd12
_cell_length_a 8.5790
_cell_length_b 8.5790
_cell_length_c 8.5790
_cell_angle_alpha 90.00
_cell_angle_beta 90.00
_cell_angle_gamma 90.00
_space_group_name_H-M_alt 'I m -3'
_space_group_IT_number 204
_space_group_name_Hall '-I 2 2 3'
loop_
_atom_site_label
_atom_site_type_symbol
_atom_site_fract_x
_atom_site_fract_y
_atom_site_fract_z
Sm1 Sm 0.0000 0.0000 0.0000
As1 As 0.2500 0.2500 0.2500
Pd1 Pd 0.0000 0.1628 0.3413
```

Peak list (10 most intense, 5 to 70 degrees two-theta, by angle)
(3 1 0), 2θ 33.02, d = 2.713 Å, I 100; (3 2 1), 2θ 39.29, d = 2.293 Å, I 47; (4 2 0), 2θ 47.39, d = 1.918 Å, I 15; (3 3 2), 2θ 49.86, d = 1.829 Å, I 5; (4 2 2), 2θ 52.24, d = 1.751 Å, I 28; (4 1 3), 2θ 54.54, d = 1.682 Å, I 26; (5 0 3), 2θ 63.20, d = 1.471 Å, I 12; (6 0 0), 2θ 65.25, d = 1.430 Å, I 9; (5 3 2), 2θ 67.28, d = 1.392 Å, I 6; (6 0 2), 2θ 69.27, d = 1.356 Å, I 5

=====

[6]
# Sm3As4Pd7
Simulated XRD peak list, a wavelength of 1.5418 Å. Input: a DFT-relaxed cell (PBE, Alexandria).
Lines closer than 0.1° are merged.

Atomic structure:
```
data_Sm3As4Pd7
_cell_length_a 15.9150
_cell_length_b 4.1770
_cell_length_c 9.6779
_cell_angle_alpha 90.00
_cell_angle_beta 125.95
_cell_angle_gamma 90.00
_space_group_name_H-M_alt 'C 1 2/m 1'
_space_group_IT_number 12
loop_
_space_group_symop_operation_xyz
'x,y,z'
'-x,-y,-z'
'-x,y,-z'
'x,-y,z'
'x+1/2,y+1/2,z'
'-x+1/2,-y+1/2,-z'
'-x+1/2,y+1/2,-z'
'x+1/2,-y+1/2,z'
loop_
_atom_site_label
_atom_site_type_symbol
_atom_site_fract_x
_atom_site_fract_y
_atom_site_fract_z
Sm1 Sm 0.0000 0.0000 0.0000
Sm2 Sm 0.1789 0.5000 0.6735
As1 As 0.1064 0.0000 0.8231
As2 As 0.1602 0.5000 0.2564
Pd1 Pd 0.0000 0.0000 0.5000
Pd2 Pd 0.0109 0.5000 0.2901
Pd3 Pd 0.1635 0.0000 0.4228
Pd4 Pd 0.1939 0.5000 0.0264
```

Peak list (10 most intense, 5 to 70 degrees two-theta, by angle)
(3 1 0), 2θ 29.84, d = 2.994 Å, I 23; (1 1 2), 2θ 34.95, d = 2.567 Å, I 100; (6 0 -3), 2θ 35.19, d = 2.551 Å, I 56; (5 1 -2), 2θ 35.55, d = 2.526 Å, I 80; (3 1 1), 2θ 36.24, d = 2.479 Å, I 26; (4 0 -4), 2θ 37.17, d = 2.419 Å, I 27; (5 1 -3), 2θ 38.19, d = 2.357 Å, I 31; (6 0 0), 2θ 42.08, d = 2.147 Å, I 35; (0 2 0), 2θ 43.32, d = 2.088 Å, I 60; (6 2 0), 2θ 61.98, d = 1.497 Å, I 22

=====

[7]
# SmAs2Pd6
Simulated XRD peak list, a wavelength of 1.5418 Å. Input: a DFT-relaxed cell (PBE, Alexandria).
Lines closer than 0.1° are merged.

Atomic structure:
```
data_SmAs2Pd6
_cell_length_a 5.6175
_cell_length_b 5.6175
_cell_length_c 6.5676
_cell_angle_alpha 90.00
_cell_angle_beta 90.00
_cell_angle_gamma 120.00
_space_group_name_H-M_alt 'P 6/m m m'
_space_group_IT_number 191
_space_group_name_Hall '-P 6 2'
loop_
_atom_site_label
_atom_site_type_symbol
_atom_site_fract_x
_atom_site_fract_y
_atom_site_fract_z
Sm1 Sm 0.0000 0.0000 0.0000
As1 As 0.3333 0.6667 0.5000
Pd1 Pd 0.0000 0.5000 0.2104
```

Peak list (10 most intense, 5 to 70 degrees two-theta, by angle)
(1 0 0), 2θ 18.24, d = 4.865 Å, I 25; (1 0 1), 2θ 22.75, d = 3.909 Å, I 41; (1 0 2), 2θ 32.91, d = 2.722 Å, I 36; (2 0 0), 2θ 36.95, d = 2.432 Å, I 100; (2 0 1), 2θ 39.51, d = 2.281 Å, I 48; (1 1 2), 2θ 42.35, d = 2.134 Å, I 64; (1 0 3), 2θ 45.43, d = 1.996 Å, I 30; (2 0 2), 2θ 46.46, d = 1.955 Å, I 49; (2 1 3), 2θ 66.40, d = 1.408 Å, I 19; (2 2 0), 2θ 66.59, d = 1.404 Å, I 30

=====

[8]
# Sn4As6Pd
Simulated XRD peak list, a wavelength of 1.5418 Å. Input: a DFT-relaxed cell (PBE, Alexandria).
Lines closer than 0.1° are merged.

Atomic structure:
```
data_Sn4As6Pd
_cell_length_a 10.7937
_cell_length_b 8.7571
_cell_length_c 13.2294
_cell_angle_alpha 90.00
_cell_angle_beta 110.04
_cell_angle_gamma 90.00
_space_group_name_H-M_alt 'C 1 c 1'
_space_group_IT_number 9
loop_
_space_group_symop_operation_xyz
'x,y,z'
'x,-y,z+1/2'
'x+1/2,y+1/2,z'
'x+1/2,-y+1/2,z+1/2'
loop_
_atom_site_label
_atom_site_type_symbol
_atom_site_fract_x
_atom_site_fract_y
_atom_site_fract_z
Sn1 Sn 0.0000 0.0385 0.0000
Sn2 Sn 0.1293 0.3830 0.8407
Sn3 Sn 0.2941 0.0745 0.4270
Sn4 Sn 0.4277 0.2404 0.7385
As1 As 0.0858 0.2283 0.4453
As2 As 0.1575 0.3819 0.0650
As3 As 0.2077 0.1168 0.7584
As4 As 0.3881 0.4758 0.1524
As5 As 0.3998 0.2695 0.3234
As6 As 0.4816 0.0029 0.6273
Pd1 Pd 0.2024 0.1417 0.1653
```

Peak list (10 most intense, 5 to 70 degrees two-theta, by angle)
(0 2 2), 2θ 24.88, d = 3.579 Å, I 56; (2 2 -1), 2θ 26.23, d = 3.398 Å, I 43; (3 1 -2), 2θ 27.32, d = 3.265 Å, I 100; (2 2 -2), 2θ 27.52, d = 3.241 Å, I 75; (1 1 3), 2θ 27.84, d = 3.205 Å, I 82; (3 1 0), 2θ 28.30, d = 3.153 Å, I 40; (3 1 -3), 2θ 29.63, d = 3.015 Å, I 46; (1 1 4), 2θ 34.52, d = 2.598 Å, I 54; (4 0 2), 2θ 42.90, d = 2.108 Å, I 41; (2 4 0), 2θ 45.11, d = 2.010 Å, I 64

=====

[9]
# Sr3Sn2As2Pd4
Simulated XRD peak list, a wavelength of 1.5418 Å. Input: a DFT-relaxed cell (PBE, Alexandria).
Lines closer than 0.1° are merged.

Atomic structure:
```
data_Sr3Sn2As2Pd4
_cell_length_a 4.4692
_cell_length_b 4.4692
_cell_length_c 15.8487
_cell_angle_alpha 90.00
_cell_angle_beta 90.00
_cell_angle_gamma 120.00
_space_group_name_H-M_alt 'P -3 m 1'
_space_group_IT_number 164
_space_group_name_Hall '-P 3 2"'
loop_
_atom_site_label
_atom_site_type_symbol
_atom_site_fract_x
_atom_site_fract_y
_atom_site_fract_z
Sr1 Sr 0.0000 0.0000 0.0000
Sr2 Sr 0.0000 0.0000 0.2615
Sn1 Sn 0.3333 0.6667 0.5694
As1 As 0.3333 0.6667 0.1401
Pd1 Pd 0.3333 0.6667 0.3979
Pd2 Pd 0.3333 0.6667 0.8677
```

Peak list (10 most intense, 5 to 70 degrees two-theta, by angle)
(1 0 1), 2θ 23.66, d = 3.760 Å, I 15; (0 1 2), 2θ 25.61, d = 3.478 Å, I 20; (1 0 3), 2θ 28.59, d = 3.122 Å, I 34; (0 1 4), 2θ 32.33, d = 2.769 Å, I 95; (0 0 7), 2θ 39.81, d = 2.264 Å, I 19; (1 1 0), 2θ 40.36, d = 2.235 Å, I 100; (0 1 6), 2θ 41.38, d = 2.182 Å, I 14; (2 0 4), 2θ 52.63, d = 1.739 Å, I 23; (1 1 7), 2θ 57.99, d = 1.590 Å, I 38; (1 2 4), 2θ 68.35, d = 1.372 Å, I 21

=====

[10]
# ThSn2As2Pd7
Simulated XRD peak list, a wavelength of 1.5418 Å. Input: a DFT-relaxed cell (PBE, Alexandria).
Lines closer than 0.1° are merged.

Atomic structure:
```
data_ThSn2As2Pd7
_cell_length_a 6.0888
_cell_length_b 5.9494
_cell_length_c 12.7193
_cell_angle_alpha 90.00
_cell_angle_beta 95.13
_cell_angle_gamma 90.00
_space_group_name_H-M_alt 'C 1 2/m 1'
_space_group_IT_number 12
loop_
_space_group_symop_operation_xyz
'x,y,z'
'-x,-y,-z'
'-x,y,-z'
'x,-y,z'
'x+1/2,y+1/2,z'
'-x+1/2,-y+1/2,-z'
'-x+1/2,y+1/2,-z'
'x+1/2,-y+1/2,z'
loop_
_atom_site_label
_atom_site_type_symbol
_atom_site_fract_x
_atom_site_fract_y
_atom_site_fract_z
Th1 Th 0.0000 0.0000 0.0000
Sn1 Sn 0.0552 0.0000 0.3405
As1 As 0.0504 0.5000 0.2844
Pd1 Pd 0.0000 0.5000 0.0000
Pd2 Pd 0.2180 0.5000 0.4728
Pd3 Pd 0.2207 0.2482 0.8357
```

Peak list (10 most intense, 5 to 70 degrees two-theta, by angle)
(0 0 1), 2θ 6.98, d = 12.668 Å, I 84; (1 1 3), 2θ 30.82, d = 2.901 Å, I 37; (0 2 2), 2θ 33.28, d = 2.693 Å, I 40; (2 0 -3), 2θ 34.85, d = 2.574 Å, I 94; (0 2 3), 2θ 36.96, d = 2.432 Å, I 100; (2 0 3), 2θ 38.05, d = 2.365 Å, I 78; (0 2 4), 2θ 41.65, d = 2.168 Å, I 40; (2 2 0), 2θ 42.58, d = 2.123 Å, I 59; (2 2 -1), 2θ 42.72, d = 2.116 Å, I 94; (0 0 6), 2θ 42.83, d = 2.111 Å, I 46

=====

[11]
# SrAs2Pd6
Simulated XRD peak list, a wavelength of 1.5418 Å. Input: a DFT-relaxed cell (PBE, Alexandria).
Lines closer than 0.1° are merged.

Atomic structure:
```
data_SrAs2Pd6
_cell_length_a 4.4631
_cell_length_b 4.4631
_cell_length_c 8.2889
_cell_angle_alpha 90.00
_cell_angle_beta 90.00
_cell_angle_gamma 90.00
_space_group_name_H-M_alt 'P 4/m m m'
_space_group_IT_number 123
_space_group_name_Hall '-P 4 2'
loop_
_atom_site_label
_atom_site_type_symbol
_atom_site_fract_x
_atom_site_fract_y
_atom_site_fract_z
Sr1 Sr 0.0000 0.0000 0.0000
As1 As 0.5000 0.5000 0.1667
Pd1 Pd 0.0000 0.0000 0.5000
Pd2 Pd 0.0000 0.5000 0.2969
Pd3 Pd 0.5000 0.5000 0.5000
```

Peak list (10 most intense, 5 to 70 degrees two-theta, by angle)
(0 0 1), 2θ 10.67, d = 8.289 Å, I 41; (1 0 2), 2θ 29.41, d = 3.037 Å, I 13; (1 1 2), 2θ 35.76, d = 2.511 Å, I 100; (1 0 3), 2θ 38.31, d = 2.349 Å, I 14; (2 0 0), 2θ 40.42, d = 2.232 Å, I 82; (1 1 3), 2θ 43.54, d = 2.079 Å, I 63; (2 1 3), 2θ 56.91, d = 1.618 Å, I 9; (2 2 0), 2θ 58.49, d = 1.578 Å, I 27; (2 0 4), 2θ 61.02, d = 1.518 Å, I 9; (1 1 5), 2θ 63.38, d = 1.468 Å, I 8

=====

[12]
# Sr2As3Pd2
Simulated XRD peak list, a wavelength of 1.5418 Å. Input: a DFT-relaxed cell (PBE, Alexandria).
Lines closer than 0.1° are merged.

Atomic structure:
```
data_Sr2As3Pd2
_cell_length_a 4.5679
_cell_length_b 19.3379
_cell_length_c 7.0833
_cell_angle_alpha 90.00
_cell_angle_beta 90.00
_cell_angle_gamma 90.00
_space_group_name_H-M_alt 'C m c m'
_space_group_IT_number 63
_space_group_name_Hall '-C 2c 2'
loop_
_atom_site_label
_atom_site_type_symbol
_atom_site_fract_x
_atom_site_fract_y
_atom_site_fract_z
Sr1 Sr 0.0000 0.0549 0.2500
Sr2 Sr 0.0000 0.1546 0.7500
As1 As 0.0000 0.2231 0.2500
As2 As 0.0000 0.4316 0.0589
Pd1 Pd 0.0000 0.3012 0.5490
```

Peak list (10 most intense, 5 to 70 degrees two-theta, by angle)
(0 2 0), 2θ 9.15, d = 9.669 Å, I 61; (0 6 1), 2θ 30.47, d = 2.934 Å, I 29; (1 1 2), 2θ 32.32, d = 2.770 Å, I 100; (1 5 1), 2θ 32.87, d = 2.725 Å, I 78; (1 3 2), 2θ 34.95, d = 2.567 Å, I 32; (2 0 0), 2θ 39.45, d = 2.284 Å, I 67; (0 4 3), 2θ 42.61, d = 2.122 Å, I 40; (1 3 3), 2θ 45.46, d = 1.995 Å, I 32; (1 7 2), 2θ 46.17, d = 1.966 Å, I 38; (2 4 3), 2θ 59.47, d = 1.554 Å, I 29